Starting from the PBE geometry in the Materials Project, the XRD peak list of Sr2CaTi6N2O11 was simulated for Cu Kα, 1.54184 Å.
Neutral-atom scattering factors, no anomalous dispersion.

Structure:
Lattice parameters (Å, degrees): 3.8748 7.4391 10.1214 103.40 90.12 105.05
Space group P1 (No. 1)
Unique sites:
Sr1 0.0000 0.0000 0.0000
Sr2 0.0158 0.0780 0.3487
Ca1 0.0559 0.1170 0.6834
Ti1 0.3019 0.6163 0.0982
Ti2 0.3578 0.7310 0.4306
Ti3 0.3855 0.7785 0.7629
Ti4 0.6665 0.3417 0.8957
Ti5 0.7026 0.4189 0.2458
Ti6 0.7527 0.5190 0.5849
N1 0.2928 0.5988 0.5790
N2 0.6844 0.3813 0.7240
O1 0.1617 0.3324 0.9376
O2 0.2294 0.4716 0.2622
O3 0.3667 0.7399 0.9379
O4 0.4078 0.8380 0.2310
O5 0.4894 0.9828 0.5249
O6 0.5278 0.0642 0.8312
O7 0.5921 0.1801 0.1391
O8 0.6495 0.3218 0.4174
O9 0.7721 0.5562 0.0759
O10 0.8443 0.7027 0.4007
O11 0.8977 0.8039 0.7342

The 12 most intense peaks (2θ from 10° to 80°), sorted by position:
h k l  Position (°2θ)  I (rel.)
0 1 2  24.5  121
0 2 -1  25.0  146
1 1 0  30.0  1000
0 2 -3  32.7  351
0 1 3  32.9  263
1 -1 3  35.3  618
1 0 3  37.7  163
0 2 -4  39.5  237
2 -1 0  46.9  391
0 3 2  47.1  209
1 3 -1  50.3  132
0 1 -6  54.4  118

***

Starting from the PBE geometry in the Materials Project, the XRD peak list of Sr2CaTi6N2O11 was simulated for Cu Kα, 1.54184 Å.
Neutral-atom scattering factors, no anomalous dispersion.

Structure:
Lattice parameters (Å, degrees): 3.9110 7.4024 10.0767 102.57 93.56 99.13
Space group P1 (No. 1)
Unique sites:
Sr1 0.0000 0.0000 0.0000
Sr2 0.0379 0.8876 0.3485
Ca1 0.3008 0.0105 0.6885
Ti1 0.3011 0.4811 0.4128
Ti2 0.3587 0.6092 0.7468
Ti3 0.4298 0.6714 0.1092
Ti4 0.6649 0.2299 0.2416
Ti5 0.7711 0.3020 0.5810
Ti6 0.8232 0.4095 0.9215
N1 0.4007 0.6210 0.2792
N2 0.7728 0.4067 0.4235
O1 0.1707 0.2096 0.2719
O2 0.2745 0.3243 0.6092
O3 0.3379 0.6908 0.5817
O4 0.3485 0.4795 0.9241
O5 0.4135 0.8441 0.8552
O6 0.5486 0.9466 0.1740
O7 0.6533 0.0462 0.5103
O8 0.7028 0.2838 0.0723
O9 0.8269 0.1783 0.8017
O10 0.8413 0.5371 0.7478
O11 0.9274 0.6778 0.0660

The 12 most intense peaks (2θ from 10° to 80°), sorted by position:
h k l  Position (°2θ)  I (rel.)
0 1 -1  13.6  385
0 2 -2  27.4  737
1 1 0  28.3  798
1 0 2  31.0  328
1 -2 0  31.1  528
1 1 1  31.4  347
0 2 -3  32.7  1000
1 0 -3  34.2  542
1 -1 3  36.5  485
0 2 -4  39.6  478
0 3 2  46.3  399
2 -1 0  46.8  460

***

Starting from the PBE geometry in the Materials Project, the XRD peak list of Sr2CaTi6N2O11 was simulated for Cu Kα, 1.54184 Å.
Neutral-atom scattering factors, no anomalous dispersion.

Structure:
Lattice parameters (Å, degrees): 3.8869 7.5432 9.9076 78.39 89.96 75.16
Space group P1 (No. 1)
Unique sites:
Sr1 0.0000 0.0000 0.0000
Sr2 0.0889 0.8324 0.3449
Ca1 0.9926 0.0234 0.6509
Ti1 0.3059 0.3962 0.7649
Ti2 0.3399 0.3282 0.1062
Ti3 0.4062 0.1985 0.3967
Ti4 0.6667 0.6765 0.6048
Ti5 0.6855 0.6404 0.9570
Ti6 0.7675 0.4757 0.2968
N1 0.2766 0.4565 0.2603
N2 0.6999 0.6105 0.4368
O1 0.1656 0.6787 0.6433
O2 0.2160 0.5803 0.9529
O3 0.3777 0.2534 0.6386
O4 0.3977 0.2083 0.9298
O5 0.4650 0.0794 0.2356
O6 0.5350 0.9391 0.5254
O7 0.5819 0.8588 0.8306
O8 0.6388 0.7368 0.1153
O9 0.7729 0.4630 0.7776
O10 0.8303 0.3482 0.0905
O11 0.9014 0.2069 0.4192

The 12 most intense peaks (2θ from 10° to 80°), sorted by position:
h k l  Position (°2θ)  I (rel.)
0 2 1  24.7  254
0 0 3  27.6  471
0 2 2  27.8  238
1 2 0  29.7  1000
-1 1 1  29.9  670
0 1 -3  32.7  260
1 1 3  35.7  654
1 2 -2  37.2  374
0 2 4  40.4  624
0 3 -2  45.9  451
2 1 0  46.7  678
-2 1 4  63.5  273

***

Starting from the PBE geometry in the Materials Project, the XRD peak list of Sr2CaTi6N2O11 was simulated for Cu Kα, 1.54184 Å.
Neutral-atom scattering factors, no anomalous dispersion.

Structure:
Lattice parameters (Å, degrees): 16.5949 3.6374 10.0850 90.00 99.16 90.00
Space group Cm (No. 8)
Unique sites:
Sr1 0.0000 0.0000 0.0000
Sr2 0.0705 0.0000 0.5180
Ca1 0.2974 0.5000 0.8512
Ti1 0.1287 0.5000 0.8400
Ti2 0.1845 0.5000 0.2258
Ti3 0.2446 0.5000 0.5436
Ti4 0.3170 0.0000 0.1153
Ti5 0.3480 0.0000 0.4156
Ti6 0.4140 0.0000 0.6867
N1 0.1643 0.5000 0.6764
N2 0.2944 0.0000 0.5995
O1 0.0187 0.5000 0.8244
O2 0.0912 0.5000 0.1146
O3 0.1497 0.5000 0.3992
O4 0.1611 0.0000 0.9011
O5 0.2269 0.0000 0.2398
O6 0.2730 0.5000 0.0829
O7 0.3149 0.5000 0.3885
O8 0.3662 0.0000 0.9583
O9 0.4028 0.0000 0.2415
O10 0.4046 0.5000 0.7429
O11 0.4590 0.0000 0.5254

The 12 most intense peaks (2θ from 10° to 80°), sorted by position:
h k l  Position (°2θ)  I (rel.)
2 0 1  15.1  221
0 0 2  17.8  224
3 1 0  29.5  816
3 1 -1  30.1  565
4 0 2  30.4  1000
2 0 3  30.6  276
6 0 -1  32.6  401
2 0 -4  36.0  455
5 1 1  39.1  266
4 0 -4  39.2  305
6 0 -4  45.2  423
0 2 0  50.2  460